Calculated X-ray diffraction stick pattern of Sr4V3O10 for Cu Kα, 1.54184 Å, from a DFT-relaxed cell (PBE+U, Alexandria).
No peak broadening, texture or thermal motion is included.

The 10 most intense peaks (2θ from 10° to 90°), by angle:
- 2θ = 31.84°, 2.811 Å, intensity 100.0, (1 0 7)
- 2θ = 32.59°, 2.747 Å, intensity 60.6, (1 1 0)
- 2θ = 41.51°, 2.175 Å, intensity 24.6, (1 1 8)
- 2θ = 44.51°, 2.035 Å, intensity 17.4, (0 0 14)
- 2θ = 46.76°, 1.943 Å, intensity 41.5, (2 0 0)
- 2θ = 56.25°, 1.635 Å, intensity 16.2, (1 1 14)
- 2θ = 57.69°, 1.598 Å, intensity 36.5, (2 1 7)
- 2θ = 66.54°, 1.405 Å, intensity 18.3, (2 0 14)
- 2θ = 68.28°, 1.374 Å, intensity 11.9, (2 2 0)
- 2θ = 77.73°, 1.229 Å, intensity 9.5, (3 1 0)

Structural model:
Cell lengths 3.8853, 3.8853, 28.4947 Å; angles 90.00, 90.00, 90.00 degrees
Space group I4/mmm (No. 139)
Symmetry-distinct sites (fractional):
1 Sr 0.0000 0.0000 0.0676
2 Sr 0.0000 0.0000 0.2034
3 V 0.0000 0.0000 0.3608
4 V 0.0000 0.0000 0.5000
5 O 0.0000 0.0000 0.2905
6 O 0.0000 0.0000 0.4334
7 O 0.0000 0.5000 0.0000
8 O 0.0000 0.5000 0.1377